The following is a computed powder diffractogram of AlCuPb. It was derived from a crystal structure in Alexandria, relaxed with GGA-PBE, using Cu Ka.
Lines closer than 0.1° are merged.

Top 10 peaks for 2θ from 10° to 90°, by intensity:
- 2θ = 32.57°, I = 100, (0 1 2)
- 2θ = 26.80°, I = 82, (1 0 1)
- 2θ = 42.66°, I = 80, (1 1 2)
- 2θ = 23.28°, I = 66, (1 0 0)
- 2θ = 35.58°, I = 66, (1 1 0)
- 2θ = 28.15°, I = 47, (0 1 1)
- 2θ = 37.63°, I = 43, (0 0 4)
- 2θ = 55.29°, I = 38, (0 1 5)
- 2θ = 38.06°, I = 37, (1 1 -2)
- 2θ = 46.58°, I = 31, (2 0 -1)

Cell and atoms:
abc: 3.9001 3.3605 9.7520
angles: 90.00 101.32 90.00
Space group P2_1 (No. 4)
Symmetry-distinct sites (fractional):
Al1 0.0553 0.0000 0.1151
Cu1 0.4544 0.0004 0.9026
Pb1 0.3236 0.4982 0.6413